Computed X-ray powder pattern of TbTiGe for Cu Kα (weighted mean of Kα1 and Kα2), from DFT lattice parameters and positions (PBE).
Neutral-atom scattering factors, no anomalous dispersion.

Atomic structure:
Lattice parameters (Å, degrees): 4.089 4.089 7.701 90.00 90.00 90.00
Space group P4/nmm (No. 129, origin choice 2)
One atom of each set of equivalent atoms:
Tb1 0.250 0.250 0.156 (multiplicity 2)
Ti1 0.250 0.750 0.500 (multiplicity 2)
Ge1 0.250 0.250 0.741 (multiplicity 2)

Peak list (10 most intense, 2θ from 10° to 80°, in order of rising 2θ)
| two_theta | intensity |
| --- | --- |
| 24.65 | 24 |
| 30.93 | 78 |
| 31.93 | 100 |
| 33.10 | 66 |
| 34.95 | 29 |
| 38.96 | 81 |
| 44.31 | 66 |
| 55.65 | 42 |
| 57.64 | 27 |
| 64.67 | 28 |

***

Computed X-ray powder pattern of TcGe3 for Cu Kα (weighted mean of Kα1 and Kα2), from DFT lattice parameters and positions (PBE).
Neutral-atom scattering factors, no anomalous dispersion.

Atomic structure:
Lattice parameters (Å, degrees): 4.073 4.073 7.705 90.00 90.00 90.00
Space group I4/mmm (No. 139)
One atom of each set of equivalent atoms:
Tc1 0.000 0.000 0.000 (multiplicity 2)
Ge1 0.000 0.000 0.500 (multiplicity 2)
Ge2 0.000 0.500 0.250 (multiplicity 4)

Peak list (10 most intense, 2θ from 10° to 80°, in order of rising 2θ)
| two_theta | intensity |
| --- | --- |
| 23.09 | 1 |
| 24.72 | 2 |
| 31.05 | 1 |
| 39.05 | 100 |
| 44.48 | 34 |
| 47.18 | 14 |
| 51.55 | 1 |
| 64.73 | 11 |
| 66.85 | 20 |
| 78.26 | 25 |

***

Computed X-ray powder pattern of Tc3Ge for Cu Kα (weighted mean of Kα1 and Kα2), from DFT lattice parameters and positions (PBE).
Neutral-atom scattering factors, no anomalous dispersion.

Atomic structure:
Lattice parameters (Å, degrees): 5.4741 5.4741 4.4787 90.00 90.00 120.00
Space group P6_3/mmc (No. 194)
One atom of each set of equivalent atoms:
Tc1 0.1696 0.3393 0.2500 (multiplicity 6)
Ge1 0.3333 0.6667 0.7500 (multiplicity 2)

Peak list (8 most intense, 2θ from 10° to 80°, in order of rising 2θ)
| two_theta | intensity |
| --- | --- |
| 27.40 | 2 |
| 32.72 | 1 |
| 37.96 | 24 |
| 40.27 | 27 |
| 43.18 | 100 |
| 56.54 | 15 |
| 68.57 | 16 |
| 75.22 | 19 |

***

Computed X-ray powder pattern of Tc3Ge for Cu Kα (weighted mean of Kα1 and Kα2), from DFT lattice parameters and positions (PBE).
Neutral-atom scattering factors, no anomalous dispersion.

Atomic structure:
Lattice parameters (Å, degrees): 6.155 6.155 6.155 90.00 90.00 90.00
Space group Fm-3m (No. 225)
One atom of each set of equivalent atoms:
Tc1 0.000 0.000 0.000 (multiplicity 4)
Tc2 0.250 0.250 0.250 (multiplicity 8)
Ge1 0.000 0.000 0.500 (multiplicity 4)

Peak list (6 most intense, 2θ from 10° to 80°, in order of rising 2θ)
| two_theta | intensity |
| --- | --- |
| 25.06 | 1 |
| 29.01 | 1 |
| 41.50 | 100 |
| 49.09 | 1 |
| 60.13 | 16 |
| 75.70 | 32 |

***

Computed X-ray powder pattern of Ge3Te for Cu Kα (weighted mean of Kα1 and Kα2), from DFT lattice parameters and positions (PBE).
Neutral-atom scattering factors, no anomalous dispersion.

Atomic structure:
Lattice parameters (Å, degrees): 4.124 4.124 10.736 90.00 90.00 90.00
Space group I4/mmm (No. 139)
One atom of each set of equivalent atoms:
Ge1 0.000 0.000 0.000 (multiplicity 2)
Ge2 0.000 0.500 0.250 (multiplicity 4)
Te1 0.000 0.000 0.500 (multiplicity 2)

Peak list (10 most intense, 2θ from 10° to 80°, in order of rising 2θ)
| two_theta | intensity |
| --- | --- |
| 23.10 | 6 |
| 33.39 | 28 |
| 35.02 | 100 |
| 43.90 | 26 |
| 56.26 | 25 |
| 60.73 | 20 |
| 63.83 | 8 |
| 70.13 | 3 |
| 73.98 | 11 |
| 74.93 | 21 |

***

Computed X-ray powder pattern of GeTe for Cu Kα (weighted mean of Kα1 and Kα2), from DFT lattice parameters and positions (PBE).
Neutral-atom scattering factors, no anomalous dispersion.

Atomic structure:
Lattice parameters (Å, degrees): 13.274 11.142 4.090 90.00 90.00 90.00
Space group Pbcn (No. 60)
One atom of each set of equivalent atoms:
Ge1 0.225 0.110 0.018 (multiplicity 8)
Te1 0.138 0.345 0.018 (multiplicity 8)

Peak list (10 most intense, 2θ from 10° to 80°, in order of rising 2θ)
| two_theta | intensity |
| --- | --- |
| 10.37 | 41 |
| 13.34 | 78 |
| 24.89 | 23 |
| 26.83 | 100 |
| 31.43 | 25 |
| 32.13 | 29 |
| 33.91 | 60 |
| 39.74 | 20 |
| 43.78 | 47 |
| 48.50 | 23 |

***

Computed X-ray powder pattern of GeTe for Cu Kα (weighted mean of Kα1 and Kα2), from DFT lattice parameters and positions (PBE).
Neutral-atom scattering factors, no anomalous dispersion.

Atomic structure:
Lattice parameters (Å, degrees): 11.810 4.196 4.641 90.00 90.00 90.00
Space group Pnma (No. 62)
One atom of each set of equivalent atoms:
Ge1 0.122 0.250 0.108 (multiplicity 4)
Te1 0.146 0.750 0.506 (multiplicity 4)

Peak list (10 most intense, 2θ from 10° to 80°, in order of rising 2θ)
| two_theta | intensity |
| --- | --- |
| 29.69 | 100 |
| 30.27 | 36 |
| 36.81 | 21 |
| 38.81 | 11 |
| 43.12 | 16 |
| 47.34 | 13 |
| 48.38 | 30 |
| 49.99 | 8 |
| 53.59 | 14 |
| 64.73 | 7 |

***

Computed X-ray powder pattern of GeTe for Cu Kα (weighted mean of Kα1 and Kα2), from DFT lattice parameters and positions (PBE).
Neutral-atom scattering factors, no anomalous dispersion.

Atomic structure:
Lattice parameters (Å, degrees): 3.704 3.704 3.704 90.00 90.00 90.00
Space group Pm-3m (No. 221)
One atom of each set of equivalent atoms:
Ge1 0.000 0.000 0.000 (multiplicity 1)
Te1 0.500 0.500 0.500 (multiplicity 1)

Peak list (8 most intense, 2θ from 10° to 80°, in order of rising 2θ)
| two_theta | intensity |
| --- | --- |
| 24.02 | 7 |
| 34.23 | 100 |
| 42.26 | 2 |
| 49.19 | 18 |
| 55.47 | 3 |
| 61.30 | 36 |
| 72.12 | 11 |
| 77.27 | 1 |

***

Computed X-ray powder pattern of GeTe for Cu Kα (weighted mean of Kα1 and Kα2), from DFT lattice parameters and positions (PBE).
Neutral-atom scattering factors, no anomalous dispersion.

Atomic structure:
Lattice parameters (Å, degrees): 4.2307 4.2307 10.8896 90.00 90.00 120.00
Space group R3m (No. 160, hexagonal axes)
One atom of each set of equivalent atoms:
Ge1 0.0000 0.0000 0.0000 (multiplicity 3)
Te1 0.0000 0.0000 0.4691 (multiplicity 3)

Peak list (10 most intense, 2θ from 10° to 80°, in order of rising 2θ)
| two_theta | intensity |
| --- | --- |
| 24.52 | 7 |
| 25.65 | 10 |
| 29.38 | 100 |
| 41.32 | 35 |
| 42.75 | 37 |
| 52.72 | 19 |
| 60.96 | 11 |
| 68.07 | 13 |
| 70.12 | 16 |
| 77.30 | 11 |

***

Computed X-ray powder pattern of GeTe for Cu Kα (weighted mean of Kα1 and Kα2), from DFT lattice parameters and positions (PBE).
Neutral-atom scattering factors, no anomalous dispersion.

Atomic structure:
Lattice parameters (Å, degrees): 5.1117 5.1117 8.7896 90.00 90.00 120.00
Space group R3m (No. 160, hexagonal axes)
One atom of each set of equivalent atoms:
Ge1 0.0000 0.0000 0.0000 (multiplicity 3)
Te1 0.0000 0.0000 0.6851 (multiplicity 3)

Peak list (10 most intense, 2θ from 10° to 80°, in order of rising 2θ)
| two_theta | intensity |
| --- | --- |
| 22.49 | 100 |
| 28.62 | 33 |
| 30.51 | 44 |
| 35.11 | 92 |
| 42.10 | 19 |
| 46.12 | 21 |
| 47.19 | 77 |
| 62.99 | 16 |
| 71.60 | 22 |
| 74.68 | 18 |

***

Computed X-ray powder pattern of GeTe for Cu Kα (weighted mean of Kα1 and Kα2), from DFT lattice parameters and positions (PBE).
Neutral-atom scattering factors, no anomalous dispersion.

Atomic structure:
Lattice parameters (Å, degrees): 6.009 6.009 6.009 90.00 90.00 90.00
Space group Fm-3m (No. 225)
One atom of each set of equivalent atoms:
Ge1 0.000 0.000 0.000 (multiplicity 4)
Te1 0.000 0.000 0.500 (multiplicity 4)

Peak list (9 most intense, 2θ from 10° to 80°, in order of rising 2θ)
| two_theta | intensity |
| --- | --- |
| 25.68 | 11 |
| 29.74 | 100 |
| 42.56 | 75 |
| 50.37 | 5 |
| 52.78 | 26 |
| 61.76 | 12 |
| 68.01 | 2 |
| 70.03 | 33 |
| 77.89 | 25 |

***

Computed X-ray powder pattern of TiGeTe6 for Cu Kα (weighted mean of Kα1 and Kα2), from DFT lattice parameters and positions (PBE).
Neutral-atom scattering factors, no anomalous dispersion.

Atomic structure:
Lattice parameters (Å, degrees): 14.946 3.934 17.827 90.00 104.97 90.00
Space group C2/m (No. 12)
One atom of each set of equivalent atoms:
Ti1 0.236 0.000 0.259 (multiplicity 4)
Ge1 0.222 0.000 0.406 (multiplicity 4)
Te1 0.092 0.500 0.255 (multiplicity 4)
Te2 0.094 0.000 0.118 (multiplicity 4)
Te3 0.129 0.500 0.464 (multiplicity 4)
Te4 0.134 0.000 0.656 (multiplicity 4)
Te5 0.156 0.500 0.020 (multiplicity 4)
Te6 0.189 0.000 0.822 (multiplicity 4)

Peak list (10 most intense, 2θ from 10° to 80°, in order of rising 2θ)
| two_theta | intensity |
| --- | --- |
| 12.26 | 34 |
| 24.66 | 33 |
| 29.47 | 100 |
| 30.34 | 45 |
| 31.54 | 43 |
| 32.49 | 37 |
| 33.14 | 19 |
| 42.40 | 26 |
| 46.15 | 28 |
| 48.52 | 20 |